No. 1
Diffraction record for ReBr4. The PXRD pattern is calculated, not measured: it uses DFT lattice parameters and positions (GGA-PBE) and Cu Kα (λ = 1.5418 Å).
Lines closer than 0.1° are merged.

Main lines, in order of rising 2θ (2θ = 15–90°):
- d = 4.840 Å, 2θ 18.33, rel. 783
- d = 4.616 Å, 2θ 19.23, rel. 868
- d = 3.008 Å, 2θ 29.70, rel. 1000
- d = 2.974 Å, 2θ 30.05, rel. 890
- d = 2.808 Å, 2θ 31.87, rel. 815
- d = 2.269 Å, 2θ 39.72, rel. 652
- d = 2.245 Å, 2θ 40.17, rel. 582
- d = 2.124 Å, 2θ 42.56, rel. 585
- d = 1.988 Å, 2θ 45.63, rel. 811
- d = 1.885 Å, 2θ 48.27, rel. 389

Cell and atoms:
a = 6.728 Å, b = 7.020 Å, c = 13.154 Å
α = 90.00°, β = 93.40°, γ = 90.00°
Positions (direct):
Re 0.179 0.232 0.310
Re 0.179 0.768 0.810
Re 0.821 0.232 0.190
Re 0.821 0.768 0.690
Br 0.000 0.460 0.750
Br 0.000 0.540 0.250
Br 0.138 0.097 0.129
Br 0.138 0.903 0.629
Br 0.252 0.380 0.476
Br 0.252 0.620 0.976
Br 0.358 0.058 0.864
Br 0.358 0.942 0.364
Br 0.500 0.400 0.250
Br 0.500 0.600 0.750
Br 0.642 0.058 0.636
Br 0.642 0.942 0.136
Br 0.748 0.380 0.024
Br 0.748 0.620 0.524
Br 0.862 0.097 0.371
Br 0.862 0.903 0.871

No. 2
Diffraction record for HoLu. The PXRD pattern is calculated, not measured: it uses DFT lattice parameters and positions (GGA-PBE) and Cu Kα (λ = 1.5418 Å).
Lines closer than 0.1° are merged.

Main lines, in order of rising 2θ (2θ = 15–90°):
- d = 3.073 Å, 2θ 29.06, rel. 239
- d = 2.752 Å, 2θ 32.54, rel. 238
- d = 2.683 Å, 2θ 33.40, rel. 1000
- d = 2.050 Å, 2θ 44.18, rel. 155
- d = 1.774 Å, 2θ 51.51, rel. 198
- d = 1.575 Å, 2θ 58.60, rel. 202
- d = 1.491 Å, 2θ 62.26, rel. 224
- d = 1.480 Å, 2θ 62.79, rel. 164
- d = 1.178 Å, 2θ 81.76, rel. 79
- d = 1.136 Å, 2θ 85.43, rel. 143

Cell and atoms:
a = 5.504 Å, b = 12.291 Å, c = 7.098 Å
α = 90.00°, β = 90.00°, γ = 90.00°
Positions (direct):
Ho 0.250 0.083 0.000
Ho 0.250 0.333 0.750
Ho 0.250 0.583 0.500
Ho 0.250 0.833 0.250
Ho 0.750 0.167 0.250
Ho 0.750 0.417 0.500
Ho 0.750 0.667 0.750
Ho 0.750 0.917 0.000
Lu 0.250 0.083 0.501
Lu 0.250 0.334 0.251
Lu 0.250 0.583 0.001
Lu 0.250 0.834 0.751
Lu 0.750 0.166 0.751
Lu 0.750 0.417 0.001
Lu 0.750 0.666 0.251
Lu 0.750 0.917 0.501

No. 3
Diffraction record for Zn2Co. The PXRD pattern is calculated, not measured: it uses DFT lattice parameters and positions (GGA-PBE) and Cu Kα (λ = 1.5418 Å).
Lines closer than 0.1° are merged.

Main lines, in order of rising 2θ (2θ = 15–90°):
- d = 2.269 Å, 2θ 39.72, rel. 248
- d = 2.118 Å, 2θ 42.68, rel. 273
- d = 2.000 Å, 2θ 45.34, rel. 1000
- d = 1.548 Å, 2θ 59.72, rel. 140
- d = 1.311 Å, 2θ 72.01, rel. 48
- d = 1.309 Å, 2θ 72.14, rel. 97
- d = 1.199 Å, 2θ 80.03, rel. 167
- d = 1.115 Å, 2θ 87.48, rel. 56
- d = 1.114 Å, 2θ 87.60, rel. 114
- d = 1.096 Å, 2θ 89.35, rel. 78

Cell and atoms:
a = 6.931 Å, b = 4.237 Å, c = 10.477 Å
α = 90.00°, β = 100.77°, γ = 90.00°
Positions (direct):
Zn 0.051 0.250 0.317
Zn 0.056 0.250 0.076
Zn 0.062 0.250 0.568
Zn 0.077 0.250 0.820
Zn 0.287 0.750 0.102
Zn 0.288 0.750 0.346
Zn 0.390 0.250 0.486
Zn 0.393 0.250 0.988
Zn 0.607 0.750 0.012
Zn 0.610 0.750 0.514
Zn 0.712 0.250 0.654
Zn 0.713 0.250 0.898
Zn 0.923 0.750 0.180
Zn 0.938 0.750 0.432
Zn 0.944 0.750 0.924
Zn 0.949 0.750 0.683
Co 0.283 0.750 0.606
Co 0.286 0.750 0.841
Co 0.387 0.250 0.734
Co 0.405 0.250 0.239
Co 0.595 0.750 0.761
Co 0.613 0.750 0.266
Co 0.714 0.250 0.159
Co 0.717 0.250 0.394

No. 4
Diffraction record for Hf2FeNiBi2. The PXRD pattern is calculated, not measured: it uses DFT lattice parameters and positions (GGA-PBE) and Cu Kα (λ = 1.5418 Å).
Lines closer than 0.1° are merged.

Main lines, in order of rising 2θ (2θ = 15–90°):
- d = 3.107 Å, 2θ 28.73, rel. 444
- d = 3.096 Å, 2θ 28.83, rel. 221
- d = 2.195 Å, 2θ 41.13, rel. 1000
- d = 1.792 Å, 2θ 50.96, rel. 191
- d = 1.554 Å, 2θ 59.50, rel. 112
- d = 1.389 Å, 2θ 67.42, rel. 170
- d = 1.386 Å, 2θ 67.61, rel. 85
- d = 1.268 Å, 2θ 74.90, rel. 230
- d = 1.266 Å, 2θ 75.06, rel. 115
- d = 1.097 Å, 2θ 89.33, rel. 77

Cell and atoms:
a = 7.593 Å, b = 7.593 Å, c = 7.593 Å
α = 131.69°, β = 131.69°, γ = 70.72°
Positions (direct):
Hf 0.117 0.125 0.492
Hf 0.375 0.883 0.008
Hf 0.633 0.625 0.508
Hf 0.875 0.367 0.992
Fe 0.000 0.000 0.000
Fe 0.750 0.250 0.500
Ni 0.250 0.750 0.500
Ni 0.500 0.500 0.000
Bi 0.124 0.625 0.999
Bi 0.375 0.374 0.499
Bi 0.626 0.125 0.001
Bi 0.875 0.876 0.501

No. 5
Diffraction record for Ho3Fe2. The PXRD pattern is calculated, not measured: it uses DFT lattice parameters and positions (GGA-PBE) and Cu Kα (λ = 1.5418 Å).
Lines closer than 0.1° are merged.

Main lines, in order of rising 2θ (2θ = 15–90°):
- d = 3.058 Å, 2θ 29.20, rel. 223
- d = 2.904 Å, 2θ 30.79, rel. 1000
- d = 2.728 Å, 2θ 32.83, rel. 240
- d = 2.425 Å, 2θ 37.07, rel. 89
- d = 2.243 Å, 2θ 40.21, rel. 310
- d = 2.145 Å, 2θ 42.13, rel. 103
- d = 1.905 Å, 2θ 47.75, rel. 226
- d = 1.734 Å, 2θ 52.78, rel. 223
- d = 1.617 Å, 2θ 56.95, rel. 95
- d = 1.593 Å, 2θ 57.90, rel. 97

Cell and atoms:
a = 7.206 Å, b = 7.206 Å, c = 7.206 Å
α = 54.50°, β = 54.50°, γ = 54.50°
Positions (direct):
Ho 0.134 0.750 0.366
Ho 0.250 0.634 0.866
Ho 0.366 0.134 0.750
Ho 0.634 0.866 0.250
Ho 0.750 0.366 0.134
Ho 0.866 0.250 0.634
Fe 0.189 0.189 0.189
Fe 0.311 0.311 0.311
Fe 0.689 0.689 0.689
Fe 0.811 0.811 0.811

No. 6
Diffraction record for Co3W10C4. The PXRD pattern is calculated, not measured: it uses DFT lattice parameters and positions (GGA-PBE) and Cu Kα (λ = 1.5418 Å).
Lines closer than 0.1° are merged.

Main lines, in order of rising 2θ (2θ = 15–90°):
- d = 2.604 Å, 2θ 34.44, rel. 320
- d = 2.500 Å, 2θ 35.93, rel. 358
- d = 2.296 Å, 2θ 39.23, rel. 179
- d = 2.208 Å, 2θ 40.87, rel. 585
- d = 2.186 Å, 2θ 41.30, rel. 1000
- d = 2.116 Å, 2θ 42.72, rel. 501
- d = 1.362 Å, 2θ 68.97, rel. 207
- d = 1.326 Å, 2θ 71.11, rel. 197
- d = 1.318 Å, 2θ 71.60, rel. 262
- d = 1.303 Å, 2θ 72.52, rel. 178

Cell and atoms:
a = 7.955 Å, b = 7.955 Å, c = 8.047 Å
α = 90.00°, β = 90.00°, γ = 120.00°
Positions (direct):
Co 0.064 0.532 0.250
Co 0.468 0.532 0.250
Co 0.468 0.936 0.250
Co 0.532 0.064 0.750
Co 0.532 0.468 0.750
Co 0.936 0.468 0.750
W 0.000 0.000 0.000
W 0.000 0.000 0.500
W 0.118 0.236 0.250
W 0.118 0.882 0.250
W 0.210 0.421 0.562
W 0.210 0.421 0.938
W 0.210 0.790 0.562
W 0.210 0.790 0.938
W 0.236 0.118 0.750
W 0.421 0.210 0.062
W 0.421 0.210 0.438
W 0.579 0.790 0.562
W 0.579 0.790 0.938
W 0.764 0.882 0.250
W 0.790 0.210 0.062
W 0.790 0.210 0.438
W 0.790 0.579 0.062
W 0.790 0.579 0.438
W 0.882 0.118 0.750
W 0.882 0.764 0.750
C 0.000 0.500 0.000
C 0.000 0.500 0.500
C 0.333 0.667 0.250
C 0.500 0.000 0.000
C 0.500 0.000 0.500
C 0.500 0.500 0.000
C 0.500 0.500 0.500
C 0.667 0.333 0.750

No. 7
Diffraction record for Zr2O. The PXRD pattern is calculated, not measured: it uses DFT lattice parameters and positions (GGA-PBE) and Cu Kα (λ = 1.5418 Å).
Lines closer than 0.1° are merged.

Main lines, in order of rising 2θ (2θ = 15–90°):
- d = 2.818 Å, 2θ 31.75, rel. 159
- d = 2.615 Å, 2θ 34.29, rel. 213
- d = 2.481 Å, 2θ 36.20, rel. 1000
- d = 1.917 Å, 2θ 47.42, rel. 205
- d = 1.627 Å, 2θ 56.56, rel. 204
- d = 1.483 Å, 2θ 62.65, rel. 192
- d = 1.382 Å, 2θ 67.83, rel. 174
- d = 1.361 Å, 2θ 69.02, rel. 143
- d = 1.241 Å, 2θ 76.84, rel. 44
- d = 1.096 Å, 2θ 89.40, rel. 73

Cell and atoms:
a = 5.637 Å, b = 5.637 Å, c = 5.231 Å
α = 90.00°, β = 90.00°, γ = 120.00°
Positions (direct):
Zr 0.000 0.333 0.253
Zr 0.000 0.667 0.747
Zr 0.333 0.000 0.253
Zr 0.333 0.333 0.747
Zr 0.667 0.000 0.747
Zr 0.667 0.667 0.253
O 0.000 0.000 0.500
O 0.333 0.667 0.000
O 0.667 0.333 0.000

> Number 3 is which compound?

Zn2Co